For SiHgPb2, a DFT-relaxed cell (PBE, Alexandria) gives the simulated powder XRD pattern in this record (a wavelength of 1.5418 Å).

Cell: 3.5084 5.4353 10.9681 Å, 90.00 90.00 90.00°
Space group Imm2 (No. 44)
Inequivalent atoms, fractional coordinates:
Si (0.0000, 0.0000, 0.0000) x2
Hg (0.0000, 0.5000, 0.7069) x2
Pb (0.0000, 0.0000, 0.4809) x2
Pb (0.0000, 0.5000, 0.2743) x2

Principal peaks in the range 10° ≤ 2θ ≤ 90°, most intense first:
- (1 1 2), 34.5 deg, rel. 100
- (0 1 3), 29.4 deg, rel. 36
- (0 2 0), 33.0 deg, rel. 32
- (1 3 2), 59.9 deg, rel. 21
- (0 0 4), 32.7 deg, rel. 20
- (1 0 1), 26.7 deg, rel. 18